1.
The following is a theoretical XRD peak list of Hf4GaPbC2. It was derived from a crystal structure in OQMD, relaxed with PBE, using Cu Kα (λ = 1.5418 Å).
Lines closer than 0.1° are merged.

Atomic structure:
```
Hf4GaPbC2
1.0
3.3290 0.0000 0.0000
-1.6645 2.8830 0.0000
0.0000 0.0000 14.3732
Hf Ga Pb C
4 1 1 2
Cartesian
0.0000 0.0000 2.2404
0.0000 0.0000 12.1328
0.0000 1.9220 4.6864
0.0000 1.9220 9.6868
0.0000 1.9220 0.0000
0.0000 0.0000 7.1866
1.6645 0.9610 3.4783
1.6645 0.9610 10.8949
```

Peak list (12 most intense, 15 to 90 degrees two-theta, most intense first)
| 2θ/deg | I/Imax | (hkl) |
| --- | --- | --- |
| 36.37 | 100 | 1 0 3 |
| 31.03 | 28 | 1 0 0 |
| 55.18 | 21 | 1 1 0 |
| 68.66 | 19 | 1 1 6 |
| 37.55 | 18 | 0 0 6 |
| 67.90 | 16 | 2 0 3 |
| 49.47 | 15 | 1 0 6 |
| 66.99 | 14 | 1 0 9 |
| 64.68 | 6 | 2 0 0 |
| 33.49 | 5 | 1 0 2 |
| 60.74 | 4 | 1 0 8 |
| 77.24 | 4 | 2 0 6 |

***

2.
The following is a theoretical XRD peak list of Mg2Cd2SiPb. It was derived from a crystal structure in OQMD, relaxed with PBE, using Cu Kα (λ = 1.5418 Å).
Lines closer than 0.1° are merged.

Atomic structure:
```
Mg2Cd2SiPb
1.0
11.6362 0.0000 0.0000
0.0000 4.7468 0.0000
-5.1024 0.0000 10.6274
Mg Cd Si Pb
8 8 4 4
Cartesian
0.0000 0.0000 0.0000
-1.9257 2.3734 4.6343
-0.5120 0.0000 7.3238
3.0577 2.3734 1.3435
2.7418 0.0000 4.6533
2.2672 2.3734 9.5046
7.4651 0.0000 3.0764
6.6983 2.3734 7.0455
-1.0746 0.0000 2.9752
-2.1005 2.3734 7.4973
-2.2904 0.0000 9.8948
0.8562 2.3734 3.3803
2.4735 0.0000 7.7559
6.0555 2.3734 1.6819
5.9664 0.0000 5.6190
5.2079 2.3734 9.4862
-3.6484 2.3734 9.6328
1.6283 0.0000 2.1761
5.0344 0.0000 8.1591
8.7751 0.0000 5.6275
1.0993 2.3734 6.4000
0.6049 0.0000 10.4702
4.6834 2.3734 4.3032
9.1143 2.3734 1.5761
```

Peak list (12 most intense, 15 to 90 degrees two-theta, most intense first)
| 2θ/deg | I/Imax | (hkl) |
| --- | --- | --- |
| 23.56 | 100 | 1 1 1 |
| 37.91 | 52 | 0 2 0 |
| 39.25 | 49 | 4 1 0 |
| 38.85 | 45 | 0 1 4 |
| 41.08 | 43 | 4 1 -4 |
| 22.75 | 39 | 1 0 -3 |
| 36.39 | 39 | 1 1 -4 |
| 36.26 | 37 | 4 0 -4 |
| 23.08 | 34 | 3 0 -1 |
| 29.87 | 30 | 3 1 -1 |
| 30.31 | 17 | 3 1 -2 |
| 23.44 | 17 | 2 0 -3 |

***

3.
The following is a theoretical XRD peak list of Pr5Sc. It was derived from a crystal structure in OQMD, relaxed with PBE, using Cu Kα (λ = 1.5418 Å).
Lines closer than 0.1° are merged.

Atomic structure:
```
Pr5Sc
1.0
6.3440 0.0000 0.0000
-3.1720 5.4941 0.0000
0.0000 0.0000 5.8642
Pr Sc
5 1
Cartesian
-2.1566 3.7353 0.0000
1.0154 1.7588 0.0000
0.0000 3.6627 2.9321
3.1720 1.8314 2.9321
4.3131 0.0000 0.0000
0.0000 0.0000 2.9321
```

Peak list (12 most intense, 15 to 90 degrees two-theta, most intense first)
| 2θ/deg | I/Imax | (hkl) |
| --- | --- | --- |
| 32.08 | 100 | 1 1 1 |
| 30.49 | 25 | 0 0 2 |
| 28.13 | 24 | 1 1 0 |
| 59.51 | 22 | 3 0 2 |
| 55.20 | 21 | 1 1 3 |
| 49.79 | 19 | 3 0 0 |
| 41.96 | 17 | 1 1 2 |
| 60.47 | 16 | 2 2 1 |
| 82.04 | 13 | 4 1 1 |
| 84.69 | 8 | 3 0 4 |
| 22.17 | 8 | 1 0 1 |
| 77.50 | 8 | 2 2 3 |

***

4.
The following is a theoretical XRD peak list of Na2BeZnP2. It was derived from a crystal structure in OQMD, relaxed with PBE, using Cu Kα (λ = 1.5418 Å).
Lines closer than 0.1° are merged.

Atomic structure:
```
Na2BeZnP2
1.0
3.8782 0.0000 0.0000
-1.9391 3.3586 0.0000
0.0000 0.0000 8.6462
Na Be Zn P
2 1 1 2
Cartesian
0.0000 0.0000 2.1407
0.0000 0.0000 6.5055
0.0000 2.2391 0.0000
1.9391 1.1195 4.3231
0.0000 2.2391 4.3231
1.9391 1.1195 0.0000
```

Peak list (12 most intense, 15 to 90 degrees two-theta, most intense first)
| 2θ/deg | I/Imax | (hkl) |
| --- | --- | --- |
| 33.80 | 100 | 1 0 2 |
| 46.85 | 39 | 1 1 0 |
| 20.54 | 31 | 0 0 2 |
| 64.57 | 28 | 1 1 4 |
| 26.54 | 20 | 1 0 0 |
| 41.79 | 18 | 0 0 4 |
| 59.01 | 18 | 2 0 2 |
| 78.53 | 15 | 2 1 2 |
| 51.66 | 13 | 1 1 2 |
| 28.51 | 12 | 1 0 1 |
| 71.20 | 10 | 1 0 6 |
| 48.09 | 9 | 1 1 1 |

***

5.
The following is a theoretical XRD peak list of TaNbSe4. It was derived from a crystal structure in OQMD, relaxed with PBE, using Cu Kα (λ = 1.5418 Å).
Lines closer than 0.1° are merged.

Atomic structure:
```
TaNbSe4
1.0
3.4660 0.0000 0.0000
-1.7330 3.0016 0.0000
0.0000 0.0000 13.3196
Ta Nb Se
1 1 4
Cartesian
0.0000 0.0000 0.0000
1.7330 1.0005 6.6598
0.0000 0.0000 4.9690
0.0000 0.0000 8.3506
1.7330 1.0005 1.6846
1.7330 1.0005 11.6350
```

Peak list (12 most intense, 15 to 90 degrees two-theta, most intense first)
| 2θ/deg | I/Imax | (hkl) |
| --- | --- | --- |
| 36.12 | 100 | 1 0 3 |
| 45.53 | 48 | 1 0 5 |
| 29.76 | 40 | 1 0 0 |
| 52.83 | 30 | 1 1 0 |
| 79.90 | 18 | 1 1 8 |
| 65.67 | 17 | 2 0 3 |
| 89.07 | 16 | 2 1 3 |
| 32.73 | 15 | 1 0 2 |
| 72.25 | 12 | 2 0 5 |
| 54.73 | 11 | 1 1 2 |
| 63.94 | 9 | 1 0 8 |
| 86.71 | 9 | 1 0 11 |

***

6.
The following is a theoretical XRD peak list of Dy2Sn2IrPd3. It was derived from a crystal structure in OQMD, relaxed with PBE, using Cu Kα (λ = 1.5418 Å).
Lines closer than 0.1° are merged.

Atomic structure:
```
Dy2Sn2IrPd3
1.0
4.5645 0.0000 0.0000
-2.2822 3.9529 0.0000
0.0000 0.0000 8.9839
Dy Sn Ir Pd
2 2 1 3
Cartesian
0.0000 0.0000 0.0000
0.0000 2.6353 4.3981
2.2822 1.3176 2.3484
2.2822 1.3176 6.7280
0.0000 0.0000 2.9345
0.0000 0.0000 5.9329
0.0000 2.6353 1.3908
0.0000 2.6353 7.4681
```

Peak list (12 most intense, 15 to 90 degrees two-theta, most intense first)
| 2θ/deg | I/Imax | (hkl) |
| --- | --- | --- |
| 37.68 | 100 | 0 1 3 |
| 39.48 | 99 | 1 1 0 |
| 55.72 | 32 | 2 0 3 |
| 70.43 | 32 | 1 2 3 |
| 30.11 | 28 | 0 1 2 |
| 71.62 | 17 | 3 0 0 |
| 66.81 | 15 | 1 0 6 |
| 22.49 | 13 | 1 0 0 |
| 85.00 | 11 | 2 2 0 |
| 80.47 | 9 | 0 2 6 |
| 76.02 | 9 | 1 1 6 |
| 50.45 | 7 | 2 0 2 |

***

Copy entry 6 word for word.
The following is a theoretical XRD peak list of Dy2Sn2IrPd3. It was derived from a crystal structure in OQMD, relaxed with PBE, using Cu Kα (λ = 1.5418 Å).
Lines closer than 0.1° are merged.

Atomic structure:
```
Dy2Sn2IrPd3
1.0
4.5645 0.0000 0.0000
-2.2822 3.9529 0.0000
0.0000 0.0000 8.9839
Dy Sn Ir Pd
2 2 1 3
Cartesian
0.0000 0.0000 0.0000
0.0000 2.6353 4.3981
2.2822 1.3176 2.3484
2.2822 1.3176 6.7280
0.0000 0.0000 2.9345
0.0000 0.0000 5.9329
0.0000 2.6353 1.3908
0.0000 2.6353 7.4681
```

Peak list (12 most intense, 15 to 90 degrees two-theta, most intense first)
| 2θ/deg | I/Imax | (hkl) |
| --- | --- | --- |
| 37.68 | 100 | 0 1 3 |
| 39.48 | 99 | 1 1 0 |
| 55.72 | 32 | 2 0 3 |
| 70.43 | 32 | 1 2 3 |
| 30.11 | 28 | 0 1 2 |
| 71.62 | 17 | 3 0 0 |
| 66.81 | 15 | 1 0 6 |
| 22.49 | 13 | 1 0 0 |
| 85.00 | 11 | 2 2 0 |
| 80.47 | 9 | 0 2 6 |
| 76.02 | 9 | 1 1 6 |
| 50.45 | 7 | 2 0 2 |